(1)
# PaCr3Si3
Simulated powder diffraction line list, Cu Kα, 1.54184 Å. Input: a cell relaxed with PBE.
Intensities are scaled so that the largest is 100.

Atomic structure:
```
data_PaCr3Si3
_space_group_name_H-M_alt 'P 1 21/m 1'
_space_group_IT_number 11
_space_group_name_Hall '-P 2yb'
_cell_length_a 7.0820
_cell_length_b 4.1194
_cell_length_c 7.4831
_cell_angle_alpha 90.00
_cell_angle_beta 106.73
_cell_angle_gamma 90.00
loop_
_atom_site_label
_atom_site_type_symbol
_atom_site_fract_x
_atom_site_fract_y
_atom_site_fract_z
_atom_site_occupancy
Pa1 Pa 0.1262 0.2500 0.3434 1
Cr1 Cr 0.2634 0.7500 0.0137 1
Cr2 Cr 0.2997 0.2500 0.7804 1
Cr3 Cr 0.4334 0.2500 0.1148 1
Si1 Si 0.0629 0.2500 0.9381 1
Si2 Si 0.2720 0.7500 0.6255 1
Si3 Si 0.4348 0.7500 0.3462 1
```

Most intense lines, 10° ≤ 2θ ≤ 90°, by intensity:
- 38.43°, intensity 100.0
- 26.49°, intensity 77.7
- 45.35°, intensity 54.2
- 24.92°, intensity 53.8
- 43.96°, intensity 53.7
- 20.46°, intensity 52.2
- 25.30°, intensity 47.6
- 33.14°, intensity 45.1
- 34.25°, intensity 43.9
- 38.14°, intensity 39.2

---

(2)
# Ag2IBr5
Simulated powder diffraction line list, Cu Kα, 1.54184 Å. Input: a cell relaxed with PBE.
Intensities are scaled so that the largest is 100.

Atomic structure:
```
data_Ag2IBr5
_space_group_name_H-M_alt 'P 1 21/c 1'
_space_group_IT_number 14
_space_group_name_Hall '-P 2ybc'
_cell_length_a 13.4194
_cell_length_b 7.3720
_cell_length_c 13.8538
_cell_angle_alpha 90.00
_cell_angle_beta 113.94
_cell_angle_gamma 90.00
loop_
_atom_site_label
_atom_site_type_symbol
_atom_site_fract_x
_atom_site_fract_y
_atom_site_fract_z
_atom_site_occupancy
Ag1 Ag 0.0778 0.0049 0.3847 1
Ag2 Ag 0.3367 0.0261 0.6779 1
I1 I 0.0000 0.0000 0.0000 1
I2 I 0.5000 0.0000 0.0000 1
Br1 Br 0.0344 0.6811 0.6871 1
Br2 Br 0.1028 0.1989 0.6068 1
Br3 Br 0.2602 0.6500 0.0024 1
Br4 Br 0.3275 0.1738 0.8499 1
Br5 Br 0.4683 0.1705 0.1614 1
```

Most intense lines, 10° ≤ 2θ ≤ 90°, by intensity:
- 17.91°, intensity 100.0
- 34.27°, intensity 46.2
- 14.30°, intensity 38.3
- 23.85°, intensity 37.3
- 42.57°, intensity 32.9
- 28.78°, intensity 31.2
- 14.44°, intensity 25.9
- 35.35°, intensity 23.5
- 36.47°, intensity 17.6
- 45.64°, intensity 17.1

---

(3)
# BaGa2Au8
Simulated powder diffraction line list, Cu Kα, 1.54184 Å. Input: a cell relaxed with PBE.
Intensities are scaled so that the largest is 100.

Atomic structure:
```
data_BaGa2Au8
_space_group_name_H-M_alt 'P 4/m m m'
_space_group_IT_number 123
_space_group_name_Hall '-P 4 2'
_cell_length_a 5.5965
_cell_length_b 5.5965
_cell_length_c 9.1536
_cell_angle_alpha 90.00
_cell_angle_beta 90.00
_cell_angle_gamma 90.00
loop_
_atom_site_label
_atom_site_type_symbol
_atom_site_fract_x
_atom_site_fract_y
_atom_site_fract_z
_atom_site_occupancy
Ba1 Ba 0.0000 0.0000 0.0000 1
Ga1 Ga 0.0000 0.5000 0.5000 1
Au1 Au 0.2523 0.2523 0.3019 1
```

Most intense lines, 10° ≤ 2θ ≤ 90°, by intensity:
- 37.68°, intensity 100.0
- 31.98°, intensity 55.5
- 19.39°, intensity 51.7
- 43.90°, intensity 49.0
- 45.86°, intensity 42.3
- 29.27°, intensity 34.4
- 60.43°, intensity 28.8
- 79.37°, intensity 27.5
- 55.34°, intensity 24.9
- 50.23°, intensity 18.3